The following is a computed XRD peak list of AcSm2UO8. It was derived from a cell relaxed with GGA-PBE, using Cu Kα (λ = 1.5418 Å).
No peak broadening, texture or thermal motion is included.

Structure:
a b c (Å): 3.998 5.479 7.898
angles (deg): 90.00 90.00 90.00
Fractional coordinates of all 12 atoms:
Ac (0.000, 0.000, 0.000)
Sm (0.500, 0.500, 0.268)
Sm (0.500, 0.500, 0.732)
U (0.000, 0.000, 0.500)
O (0.000, 0.240, 0.286)
O (0.000, 0.240, 0.714)
O (0.000, 0.760, 0.286)
O (0.000, 0.760, 0.714)
O (0.500, 0.226, 0.500)
O (0.500, 0.279, 0.000)
O (0.500, 0.721, 0.000)
O (0.500, 0.774, 0.500)

Top 10 peaks for 2θ = 10–90°, sorted by position:
2theta  I (rel.)
27.6  100.0
27.8  93.3
31.9  45.5
32.7  21.7
45.4  17.7
46.0  15.0
46.3  63.9
54.1  30.5
54.5  28.6
55.4  14.8

The following is a computed XRD peak list of Ac6Sn3O. It was derived from a cell relaxed with GGA-PBE, using Cu Kα (λ = 1.5418 Å).
No peak broadening, texture or thermal motion is included.

Structure:
a b c (Å): 10.205 10.205 7.762
angles (deg): 90.00 90.00 101.79
Fractional coordinates of all 20 atoms:
Ac (0.048, 0.952, 0.500)
Ac (0.106, 0.580, 0.472)
Ac (0.223, 0.777, 0.923)
Ac (0.312, 0.367, 0.943)
Ac (0.367, 0.312, 0.443)
Ac (0.420, 0.894, 0.472)
Ac (0.580, 0.106, 0.972)
Ac (0.633, 0.688, 0.943)
Ac (0.688, 0.633, 0.443)
Ac (0.777, 0.223, 0.423)
Ac (0.894, 0.420, 0.972)
Ac (0.952, 0.048, 0.000)
Sn (0.062, 0.275, 0.669)
Sn (0.275, 0.062, 0.169)
Sn (0.382, 0.618, 0.233)
Sn (0.618, 0.382, 0.733)
Sn (0.725, 0.938, 0.669)
Sn (0.938, 0.725, 0.169)
O (0.198, 0.802, 0.608)
O (0.802, 0.198, 0.108)

Top 10 peaks for 2θ = 10–90°, sorted by position:
2theta  I (rel.)
21.5  25.7
22.9  33.0
24.4  27.6
25.3  32.1
29.2  100.0
31.6  59.9
32.3  53.2
35.2  26.3
42.1  25.4
46.9  32.4

The following is a computed XRD peak list of Ac7Sn4O. It was derived from a cell relaxed with GGA-PBE, using Cu Kα (λ = 1.5418 Å).
No peak broadening, texture or thermal motion is included.

Structure:
a b c (Å): 9.250 9.250 11.848
angles (deg): 126.28 126.28 34.92
Fractional coordinates of all 12 atoms:
Ac (0.000, 0.000, 0.000)
Ac (0.139, 0.139, 0.547)
Ac (0.290, 0.290, 0.143)
Ac (0.431, 0.431, 0.749)
Ac (0.569, 0.569, 0.251)
Ac (0.710, 0.710, 0.857)
Ac (0.861, 0.861, 0.453)
Sn (0.078, 0.078, 0.789)
Sn (0.221, 0.221, 0.344)
Sn (0.779, 0.779, 0.656)
Sn (0.922, 0.922, 0.211)
O (0.500, 0.500, 0.000)

Top 10 peaks for 2θ = 10–90°, sorted by position:
2theta  I (rel.)
21.1  37.5
22.6  53.6
31.0  100.0
31.3  87.9
32.1  37.8
32.3  48.1
46.2  28.3
54.8  21.0
56.7  20.7
56.9  25.8

The following is a computed XRD peak list of AcSn2O5. It was derived from a cell relaxed with GGA-PBE, using Cu Kα (λ = 1.5418 Å).
No peak broadening, texture or thermal motion is included.

Structure:
a b c (Å): 3.894 12.762 5.559
angles (deg): 90.00 90.00 90.00
Fractional coordinates of all 16 atoms:
Ac (0.250, 0.250, 0.122)
Ac (0.750, 0.750, 0.878)
Sn (0.250, 0.598, 0.392)
Sn (0.250, 0.902, 0.392)
Sn (0.750, 0.098, 0.608)
Sn (0.750, 0.402, 0.608)
O (0.250, 0.076, 0.453)
O (0.250, 0.424, 0.453)
O (0.250, 0.638, 0.047)
O (0.250, 0.750, 0.553)
O (0.250, 0.862, 0.047)
O (0.750, 0.138, 0.953)
O (0.750, 0.250, 0.447)
O (0.750, 0.362, 0.953)
O (0.750, 0.576, 0.547)
O (0.750, 0.924, 0.547)

Top 10 peaks for 2θ = 10–90°, sorted by position:
2theta  I (rel.)
13.9  37.8
21.2  76.8
26.4  77.4
28.0  76.1
28.9  81.4
31.1  100.0
33.0  51.0
42.4  65.6
49.4  52.7
58.3  44.2

The following is a computed XRD peak list of Ac3SnO6. It was derived from a cell relaxed with GGA-PBE, using Cu Kα (λ = 1.5418 Å).
No peak broadening, texture or thermal motion is included.

Structure:
a b c (Å): 6.145 6.372 10.888
angles (deg): 90.00 122.71 90.00
Fractional coordinates of all 20 atoms:
Ac (0.000, 0.000, 0.000)
Ac (0.000, 0.500, 0.500)
Ac (0.274, 0.051, 0.751)
Ac (0.274, 0.449, 0.251)
Ac (0.726, 0.551, 0.749)
Ac (0.726, 0.949, 0.249)
Sn (0.500, 0.000, 0.500)
Sn (0.500, 0.500, 0.000)
O (0.118, 0.073, 0.260)
O (0.118, 0.427, 0.760)
O (0.290, 0.693, 0.077)
O (0.290, 0.807, 0.577)
O (0.393, 0.209, 0.080)
O (0.393, 0.291, 0.580)
O (0.607, 0.709, 0.420)
O (0.607, 0.791, 0.920)
O (0.710, 0.193, 0.423)
O (0.710, 0.307, 0.923)
O (0.882, 0.573, 0.240)
O (0.882, 0.927, 0.740)

Top 10 peaks for 2θ = 10–90°, sorted by position:
2theta  I (rel.)
27.8  100.0
28.0  39.5
28.3  95.4
29.1  40.8
39.3  23.5
40.8  35.0
49.0  34.4
49.8  14.0
50.4  33.8
51.4  22.4

The following is a computed XRD peak list of Ac5Sn2O12. It was derived from a cell relaxed with GGA-PBE, using Cu Kα (λ = 1.5418 Å).
No peak broadening, texture or thermal motion is included.

Structure:
a b c (Å): 7.473 7.473 8.058
angles (deg): 105.42 105.42 50.73
Fractional coordinates of all 19 atoms:
Ac (0.000, 0.000, 0.000)
Ac (0.304, 0.304, 0.661)
Ac (0.309, 0.309, 0.144)
Ac (0.691, 0.691, 0.856)
Ac (0.696, 0.696, 0.339)
Sn (0.242, 0.758, 0.500)
Sn (0.758, 0.242, 0.500)
O (0.001, 0.001, 0.679)
O (0.092, 0.596, 0.922)
O (0.104, 0.575, 0.420)
O (0.404, 0.908, 0.078)
O (0.425, 0.896, 0.580)
O (0.498, 0.498, 0.674)
O (0.502, 0.502, 0.326)
O (0.575, 0.104, 0.420)
O (0.596, 0.092, 0.922)
O (0.896, 0.425, 0.580)
O (0.908, 0.404, 0.078)
O (0.999, 0.999, 0.321)

Top 10 peaks for 2θ = 10–90°, sorted by position:
2theta  I (rel.)
24.9  93.7
26.1  100.0
27.9  22.0
29.6  22.6
30.3  43.9
30.5  30.6
41.7  18.6
45.0  20.0
48.3  18.7
50.7  18.4

The following is a computed XRD peak list of Ac4Sn3O4. It was derived from a cell relaxed with GGA-PBE, using Cu Kα (λ = 1.5418 Å).
No peak broadening, texture or thermal motion is included.

Structure:
a b c (Å): 8.669 8.243 8.243
angles (deg): 29.85 90.00 90.00
Fractional coordinates of all 11 atoms:
Ac (0.000, 0.000, 0.000)
Ac (0.240, 0.664, 0.664)
Ac (0.500, 0.015, 0.015)
Ac (0.760, 0.664, 0.664)
Sn (0.000, 0.302, 0.302)
Sn (0.322, 0.355, 0.355)
Sn (0.678, 0.355, 0.355)
O (0.000, 0.579, 0.579)
O (0.245, 0.083, 0.083)
O (0.500, 0.598, 0.598)
O (0.755, 0.083, 0.083)

Top 10 peaks for 2θ = 10–90°, sorted by position:
2theta  I (rel.)
23.4  40.0
26.9  100.0
30.0  58.8
30.5  46.6
33.8  19.5
41.1  13.6
42.6  17.7
50.1  32.1
50.3  21.6
53.3  20.3